# BaGdCuS3
Calculated powder diffraction line list, Cu Kα (weighted mean of Kα1 and Kα2). Input: the GGA-PBE geometry in the Materials Project.
Lines closer than 0.1° are merged.

Most intense lines, 10 to 90 degrees two-theta, low angle first:
hkl 0 2 2, 21.57°, I = 94.4
hkl 0 4 0, 26.26°, I = 52.0
hkl 1 1 2, 28.73°, I = 67.3
hkl 1 3 1, 30.85°, I = 100.0
hkl 1 3 2, 34.38°, I = 75.4
hkl 0 0 4, 34.60°, I = 55.4

Structure:
```
data_BaGdCuS3
_space_group_name_H-M_alt 'C m c m'
_space_group_IT_number 63
_space_group_name_Hall '-C 2c 2'
_cell_length_a 4.051
_cell_length_b 13.577
_cell_length_c 10.370
_cell_angle_alpha 90.00
_cell_angle_beta 90.00
_cell_angle_gamma 90.00
loop_
_atom_site_label
_atom_site_fract_x
_atom_site_fract_y
_atom_site_fract_z
Ba1 0.000 0.244 0.250
Gd1 0.000 0.500 0.000
Cu1 0.000 0.034 0.750
S1 0.000 0.132 0.566
S2 0.000 0.433 0.750
```